Simulated powder X-ray diffraction pattern of Ba2ErTc3O12 for Cu Kα, 1.54184 Å, from a crystal structure in Alexandria, relaxed with PBE.
Peak positions follow from Bragg's law for the DFT cell and can differ from measured ones.

Principal peaks in the range 15° ≤ 2θ ≤ 90°, by intensity:
2theta, d (Å), intensity
28.84, 3.096, 100
29.87, 2.992, 42
29.65, 3.013, 40
49.42, 1.844, 39
28.43, 3.140, 32
45.48, 1.994, 32
24.13, 3.688, 28
51.48, 1.775, 28
31.42, 2.847, 19
46.03, 1.972, 17

```
18
Lattice="3.6881 2.1293 5.6945 -3.6881 2.1293 5.6945 0.0000 -4.2587 5.6945" Properties=species:S:1:pos:R:3 pbc="T T T"
Ba 0.0000 0.0000 2.1619
Ba 0.0000 0.0000 14.9216
Er 0.0000 0.0000 8.5417
Tc -1.8441 -1.0647 5.6945
Tc -1.8441 1.0647 11.3890
Tc 0.0000 2.1293 5.6945
O -1.8227 -1.0523 7.6121
O 0.0000 -1.6155 5.6934
O -1.3990 0.8077 5.6934
O 0.0000 -2.1047 9.4713
O -1.8227 1.0523 9.4713
O -1.3990 -0.8077 11.3901
O 1.3990 0.8077 5.6934
O 1.8227 -1.0523 7.6121
O 0.0000 2.1047 7.6121
O 1.3990 -0.8077 11.3901
O 0.0000 1.6155 11.3901
O 1.8227 1.0523 9.4714
```